No. 1
Computed X-ray powder pattern of AcPm4Ni2 for a wavelength of 1.5418 Å, from a cell relaxed with GGA-PBE.
Neutral-atom scattering factors, no anomalous dispersion.

Crystal structure
Unit cell a=6.967 b=6.871 c=9.175 alpha=90.00 beta=111.82 gamma=90.00
Space group P2_1/m (No. 11)
One atom of each set of equivalent atoms:
Ac  0.250  0.250  0.195
Pm  0.033  0.250  0.787
Pm  0.275  0.002  0.557
Pm  0.328  0.750  0.997
Ni  0.040  0.750  0.661
Ni  0.379  0.750  0.336

Principal peaks in the range 2θ from 10° to 90°, low angle first:
2θ/deg, intensity
28.0, 100
28.7, 74
29.1, 59
31.9, 71
32.1, 88
36.7, 80

No. 2
Computed X-ray powder pattern of Pr4Dy2Cd for a wavelength of 1.5418 Å, from a cell relaxed with GGA-PBE.
Neutral-atom scattering factors, no anomalous dispersion.

Crystal structure
Unit cell a=3.660 b=35.156 c=3.623 alpha=90.00 beta=90.00 gamma=90.00
Space group Cmmm (No. 65)
One atom of each set of equivalent atoms:
Pr  0.000  0.062  0.000
Pr  0.000  0.362  0.500
Dy  0.000  0.208  0.000
Cd  0.000  0.500  0.500

Principal peaks in the range 2θ from 10° to 90°, low angle first:
2θ/deg, intensity
30.2, 100
32.0, 57
34.9, 61
35.7, 33
52.8, 33
59.9, 28

Question: Number 2 is which compound?
Answer: Pr4Dy2Cd